Diffraction record for Ac2Ga5Cu. The PXRD pattern is simulated, not measured: it uses the PBE geometry in Alexandria and Cu Kα X-rays.
Neutral-atom scattering factors, no anomalous dispersion.

Structure:
```
Ac2Ga5Cu
1.0
6.326 0.000 0.000
0.000 6.326 0.000
0.000 0.000 9.782
Ac Ga Cu
4 10 2
Direct
0.000 0.500 0.000 Ac
0.000 0.500 0.500 Ac
0.500 0.000 0.000 Ac
0.500 0.000 0.500 Ac
0.000 0.000 0.453 Ga
0.214 0.214 0.249 Ga
0.214 0.786 0.249 Ga
0.286 0.286 0.749 Ga
0.286 0.714 0.749 Ga
0.500 0.500 0.953 Ga
0.714 0.286 0.749 Ga
0.714 0.714 0.749 Ga
0.786 0.214 0.249 Ga
0.786 0.786 0.249 Ga
0.000 0.000 0.715 Cu
0.500 0.500 0.215 Cu
```

The 8 most intense peaks (10° ≤ 2θ ≤ 90°), in order of rising 2θ:
Position (°2θ)	I_rel	hkl
19.85	29	1 1 0
27.01	74	1 1 2
33.75	100	2 0 2
36.75	27	0 0 4
40.33	42	2 2 0
49.21	23	3 1 2
55.69	28	2 2 4
69.13	19	4 2 2